[1]
Structure and theoretical XRD peak list of PrHoS2Cl (the GGA-PBE geometry in Alexandria; Cu Kα (λ = 1.5418 Å)).
Peak positions follow from Bragg's law for the DFT cell and can differ from measured ones.

Structure:
Unit cell a=4.073 b=4.073 c=13.575 alpha=90.00 beta=90.00 gamma=90.00
Element x y z (fractional)
Pr (0.250, 0.250, 0.156)
Pr (0.750, 0.750, 0.844)
Ho (0.250, 0.250, 0.593)
Ho (0.750, 0.750, 0.407)
S (0.250, 0.250, 0.389)
S (0.250, 0.250, 0.792)
S (0.750, 0.750, 0.208)
S (0.750, 0.750, 0.611)
Cl (0.250, 0.750, 0.000)
Cl (0.750, 0.250, 0.000)

Principal peaks in the range 10 to 90 degrees two-theta, by angle:
25.5°, intensity 100; 26.3°, intensity 17; 31.1°, intensity 65; 31.8°, intensity 13; 33.0°, intensity 20; 37.0°, intensity 16; 39.9°, intensity 22; 41.1°, intensity 38; 44.5°, intensity 35; 45.9°, intensity 23; 52.0°, intensity 30; 56.5°, intensity 16

[2]
Structure and theoretical XRD peak list of HoPuCl5 (the GGA-PBE geometry in Alexandria; Cu Kα (λ = 1.5418 Å)).
Peak positions follow from Bragg's law for the DFT cell and can differ from measured ones.

Structure:
Unit cell a=7.176 b=7.176 c=10.772 alpha=111.67 beta=111.67 gamma=78.11
Element x y z (fractional)
Ho (0.000, 0.000, 0.000)
Ho (0.000, 0.000, 0.500)
Pu (0.354, 0.646, 0.750)
Pu (0.646, 0.354, 0.250)
Cl (0.031, 0.969, 0.750)
Cl (0.244, 0.289, 0.131)
Cl (0.273, 0.695, 0.488)
Cl (0.289, 0.244, 0.631)
Cl (0.305, 0.727, 0.012)
Cl (0.695, 0.273, 0.988)
Cl (0.711, 0.756, 0.369)
Cl (0.727, 0.305, 0.512)
Cl (0.756, 0.711, 0.869)
Cl (0.969, 0.031, 0.250)

Principal peaks in the range 10 to 90 degrees two-theta, by angle:
13.6°, intensity 68; 18.1°, intensity 100; 18.6°, intensity 34; 19.2°, intensity 98; 21.8°, intensity 25; 25.4°, intensity 24; 26.2°, intensity 21; 31.0°, intensity 58; 33.3°, intensity 40; 36.7°, intensity 29; 40.7°, intensity 31; 44.4°, intensity 30

[3]
Structure and theoretical XRD peak list of Rb3Ho2Cl9 (the GGA-PBE geometry in Alexandria; Cu Kα (λ = 1.5418 Å)).
Peak positions follow from Bragg's law for the DFT cell and can differ from measured ones.

Structure:
Unit cell a=9.743 b=9.743 c=9.743 alpha=84.03 beta=84.03 gamma=84.03
Element x y z (fractional)
Rb (0.083, 0.417, 0.750)
Rb (0.250, 0.917, 0.583)
Rb (0.417, 0.750, 0.083)
Rb (0.583, 0.250, 0.917)
Rb (0.750, 0.083, 0.417)
Rb (0.917, 0.583, 0.250)
Ho (0.149, 0.149, 0.149)
Ho (0.351, 0.351, 0.351)
Ho (0.649, 0.649, 0.649)
Ho (0.851, 0.851, 0.851)
Cl (0.078, 0.919, 0.269)
Cl (0.081, 0.731, 0.922)
Cl (0.097, 0.250, 0.403)
Cl (0.231, 0.581, 0.422)
Cl (0.250, 0.403, 0.097)
Cl (0.269, 0.078, 0.919)
Cl (0.403, 0.097, 0.250)
Cl (0.419, 0.578, 0.769)
Cl (0.422, 0.231, 0.581)
Cl (0.578, 0.769, 0.419)
Cl (0.581, 0.422, 0.231)
Cl (0.597, 0.903, 0.750)
Cl (0.731, 0.922, 0.081)
Cl (0.750, 0.597, 0.903)
Cl (0.769, 0.419, 0.578)
Cl (0.903, 0.750, 0.597)
Cl (0.919, 0.269, 0.078)
Cl (0.922, 0.081, 0.731)

Principal peaks in the range 10 to 90 degrees two-theta, by angle:
12.3°, intensity 24; 13.6°, intensity 87; 20.7°, intensity 40; 23.6°, intensity 89; 24.8°, intensity 23; 28.4°, intensity 27; 31.0°, intensity 100; 32.0°, intensity 41; 34.6°, intensity 25; 40.2°, intensity 56; 47.2°, intensity 27; 48.4°, intensity 42

[4]
Structure and theoretical XRD peak list of RbHoTl2Cl6 (the GGA-PBE geometry in Alexandria; Cu Kα (λ = 1.5418 Å)).
Peak positions follow from Bragg's law for the DFT cell and can differ from measured ones.

Structure:
Unit cell a=7.870 b=7.873 c=8.101 alpha=60.96 beta=60.94 gamma=60.04
Element x y z (fractional)
Rb (0.000, 0.000, 0.000)
Ho (0.491, 0.491, 0.528)
Tl (0.283, 0.283, 0.151)
Tl (0.791, 0.791, 0.627)
Cl (0.151, 0.393, 0.777)
Cl (0.257, 0.818, 0.319)
Cl (0.392, 0.679, 0.778)
Cl (0.606, 0.256, 0.319)
Cl (0.678, 0.152, 0.777)
Cl (0.818, 0.606, 0.319)

Principal peaks in the range 10 to 90 degrees two-theta, by angle:
15.7°, intensity 39; 22.0°, intensity 97; 22.6°, intensity 100; 31.7°, intensity 52; 35.2°, intensity 65; 39.3°, intensity 52; 39.7°, intensity 43; 46.1°, intensity 18; 47.1°, intensity 19; 51.6°, intensity 20; 54.0°, intensity 18; 58.2°, intensity 20